Calculated X-ray powder pattern of LaPd2Pb for Cu Ka, from DFT lattice parameters and positions (GGA-PBE).

Crystal structure
```
data_LaPd2Pb
_chemical_formula_sum 'La1 Pd2 Pb1'
_symmetry_space_group_name_H-M 'P 1'
_symmetry_Int_Tables_number 1
_cell_length_a 3.6495
_cell_length_b 3.6495
_cell_length_c 6.9186
_cell_angle_alpha 90.00
_cell_angle_beta 90.00
_cell_angle_gamma 90.00
loop_
_symmetry_equiv_pos_as_xyz
'x,y,z'
loop_
_atom_site_label
_atom_site_fract_x
_atom_site_fract_y
_atom_site_fract_z
La1 0.0000 0.0000 0.0000
Pd1 0.5000 0.5000 0.2552
Pd2 0.5000 0.5000 0.7448
Pb1 0.0000 0.0000 0.5000
```

Top 12 peaks for 10 to 80 degrees two-theta, sorted by position:
d_spacing, two_theta, Rel. int., index
6.919, 12.80, 5, 0 0 1
3.650, 24.39, 6, 1 0 0
3.459, 25.75, 3, 0 0 2
2.581, 34.76, 54, 1 1 0
2.511, 35.76, 100, 1 0 2
2.068, 43.76, 3, 1 1 2
1.825, 49.98, 19, 2 0 0
1.730, 52.94, 8, 0 0 4
1.476, 62.97, 39, 2 1 2
1.437, 64.90, 18, 1 1 4
1.290, 73.38, 6, 2 2 0
1.255, 75.78, 11, 2 0 4